(1)
Diffraction record for ZnP2H8O10. The powder diffraction line list is theoretical, not measured: it uses a PBE-relaxed structure and copper Kα.

Main lines, sorted by position (2θ from 15° to 90°):
15.13 deg, I = 74; 18.82 deg, I = 64; 20.03 deg, I = 92; 26.28 deg, I = 46; 27.84 deg, I = 100; 29.39 deg, I = 50; 30.33 deg, I = 37; 32.14 deg, I = 21; 37.91 deg, I = 21; 40.71 deg, I = 19

a b c (Å): 5.3506 10.0540 8.6967
angles (deg): 90.00 124.06 90.00
Sites, in units of the cell vectors:
Zn (0.0000, 0.0000, 0.0000)
Zn (0.0000, 0.5000, 0.5000)
P (0.0915, 0.2168, 0.3362)
P (0.0915, 0.2832, 0.8362)
P (0.9085, 0.7168, 0.1638)
P (0.9085, 0.7832, 0.6638)
H (0.1227, 0.7251, 0.0121)
H (0.1227, 0.7749, 0.5121)
H (0.4053, 0.0755, 0.8340)
H (0.4053, 0.4245, 0.3340)
H (0.4174, 0.5508, 0.2321)
H (0.4174, 0.9492, 0.7321)
H (0.4422, 0.1080, 0.5960)
H (0.4422, 0.3920, 0.0960)
H (0.5578, 0.6080, 0.9040)
H (0.5578, 0.8920, 0.4040)
H (0.5826, 0.0508, 0.2679)
H (0.5826, 0.4492, 0.7679)
H (0.5947, 0.5755, 0.6660)
H (0.5947, 0.9245, 0.1660)
H (0.8773, 0.2251, 0.4879)
H (0.8773, 0.2749, 0.9879)
O (0.0184, 0.6705, 0.3596)
O (0.0184, 0.8295, 0.8596)
O (0.1366, 0.1325, 0.8634)
O (0.1366, 0.3675, 0.3634)
O (0.1496, 0.6716, 0.1216)
O (0.1496, 0.8284, 0.6216)
O (0.3951, 0.1404, 0.4725)
O (0.3951, 0.3596, 0.9725)
O (0.4732, 0.5343, 0.7101)
O (0.4732, 0.9657, 0.2101)
O (0.5268, 0.0343, 0.7899)
O (0.5268, 0.4657, 0.2899)
O (0.6049, 0.6404, 0.0275)
O (0.6049, 0.8596, 0.5275)
O (0.8504, 0.1716, 0.3784)
O (0.8504, 0.3284, 0.8784)
O (0.8634, 0.6325, 0.6366)
O (0.8634, 0.8675, 0.1366)
O (0.9816, 0.1705, 0.1404)
O (0.9816, 0.3295, 0.6404)

(2)
Diffraction record for Zn2P2H12O11. The powder diffraction line list is theoretical, not measured: it uses a PBE-relaxed structure and copper Kα.

Main lines, sorted by position (2θ from 15° to 90°):
23.29 deg, I = 37; 23.48 deg, I = 37; 24.46 deg, I = 21; 24.88 deg, I = 36; 25.20 deg, I = 100; 27.29 deg, I = 39; 27.56 deg, I = 49; 28.17 deg, I = 59; 28.32 deg, I = 23; 37.67 deg, I = 23

a b c (Å): 7.5875 7.6467 9.5527
angles (deg): 89.20 89.39 87.33
Sites, in units of the cell vectors:
Zn (0.0000, 0.0000, 0.0000)
Zn (0.0021, 0.5008, 0.7515)
Zn (0.5000, 0.5000, 0.5000)
Zn (0.9979, 0.4992, 0.2485)
P (0.1291, 0.2766, 0.4878)
P (0.2282, 0.6100, 0.9867)
P (0.7718, 0.3900, 0.0133)
P (0.8709, 0.7234, 0.5122)
H (0.0366, 0.8830, 0.2723)
H (0.0388, 0.0902, 0.2598)
H (0.2113, 0.1073, 0.4828)
H (0.2412, 0.2357, 0.9421)
H (0.2456, 0.7400, 0.5987)
H (0.3403, 0.0589, 0.8949)
H (0.3832, 0.0299, 0.1867)
H (0.3896, 0.5935, 0.2445)
H (0.4006, 0.6715, 0.9759)
H (0.4018, 0.4084, 0.7646)
H (0.4254, 0.8228, 0.6470)
H (0.4821, 0.8831, 0.2751)
H (0.5179, 0.1169, 0.7249)
H (0.5746, 0.1772, 0.3530)
H (0.5982, 0.5916, 0.2354)
H (0.5994, 0.3285, 0.0241)
H (0.6104, 0.4065, 0.7555)
H (0.6168, 0.9701, 0.8133)
H (0.6597, 0.9411, 0.1051)
H (0.7544, 0.2600, 0.4013)
H (0.7588, 0.7643, 0.0579)
H (0.7887, 0.8927, 0.5172)
H (0.9612, 0.9098, 0.7402)
H (0.9634, 0.1170, 0.7277)
O (0.0107, 0.7185, 0.6324)
O (0.0423, 0.2878, 0.6345)
O (0.0817, 0.9807, 0.2138)
O (0.0927, 0.7547, 0.9492)
O (0.2158, 0.5374, 0.1383)
O (0.2188, 0.4622, 0.8757)
O (0.2580, 0.1100, 0.9670)
O (0.2607, 0.4155, 0.4563)
O (0.3745, 0.7395, 0.5823)
O (0.4956, 0.0018, 0.2342)
O (0.4957, 0.6333, 0.2938)
O (0.5043, 0.3667, 0.7062)
O (0.5044, 0.9982, 0.7658)
O (0.6255, 0.2605, 0.4177)
O (0.7393, 0.5845, 0.5437)
O (0.7420, 0.8900, 0.0330)
O (0.7812, 0.5378, 0.1243)
O (0.7842, 0.4626, 0.8617)
O (0.9073, 0.2453, 0.0508)
O (0.9183, 0.0193, 0.7862)
O (0.9577, 0.7122, 0.3655)
O (0.9893, 0.2815, 0.3676)

(3)
Diffraction record for ZnPH3O5. The powder diffraction line list is theoretical, not measured: it uses a PBE-relaxed structure and copper Kα.

Main lines, sorted by position (2θ from 15° to 90°):
17.33 deg, I = 58; 20.13 deg, I = 57; 24.54 deg, I = 52; 25.46 deg, I = 100; 28.06 deg, I = 52; 29.90 deg, I = 44; 31.71 deg, I = 87; 33.46 deg, I = 48; 33.95 deg, I = 45; 36.34 deg, I = 40

a b c (Å): 6.4878 7.8073 12.5231
angles (deg): 73.09 80.98 81.49
Sites, in units of the cell vectors:
Zn (0.0091, 0.0487, 0.3032)
Zn (0.1428, 0.6717, 0.9492)
Zn (0.3475, 0.8860, 0.0920)
Zn (0.6525, 0.1140, 0.9080)
Zn (0.8572, 0.3283, 0.0508)
Zn (0.9909, 0.9513, 0.6968)
P (0.1479, 0.1397, 0.8665)
P (0.3243, 0.6791, 0.3642)
P (0.3441, 0.2881, 0.1140)
P (0.6559, 0.7119, 0.8860)
P (0.6757, 0.3209, 0.6358)
P (0.8521, 0.8603, 0.1335)
H (0.0192, 0.7895, 0.5280)
H (0.1626, 0.2959, 0.3769)
H (0.1812, 0.5253, 0.7810)
H (0.2590, 0.0355, 0.5125)
H (0.2965, 0.3037, 0.7005)
H (0.3492, 0.4992, 0.2114)
H (0.3506, 0.6635, 0.7625)
H (0.3550, 0.4146, 0.4981)
H (0.3648, 0.0756, 0.6049)
H (0.6352, 0.9244, 0.3951)
H (0.6450, 0.5854, 0.5019)
H (0.6494, 0.3365, 0.2375)
H (0.6508, 0.5008, 0.7886)
H (0.7035, 0.6963, 0.2995)
H (0.7410, 0.9645, 0.4875)
H (0.8188, 0.4747, 0.2190)
H (0.8374, 0.7041, 0.6231)
H (0.9808, 0.2105, 0.4720)
O (0.0624, 0.8122, 0.0655)
O (0.0840, 0.1900, 0.4065)
O (0.1354, 0.9823, 0.8189)
O (0.1451, 0.8119, 0.3988)
O (0.1628, 0.4061, 0.0512)
O (0.1803, 0.3176, 0.7662)
O (0.1994, 0.6482, 0.7856)
O (0.2747, 0.4796, 0.4316)
O (0.2798, 0.0971, 0.1755)
O (0.2899, 0.9840, 0.5909)
O (0.3308, 0.0978, 0.9387)
O (0.3376, 0.6846, 0.2390)
O (0.3754, 0.3648, 0.2157)
O (0.4472, 0.7123, 0.9633)
O (0.4615, 0.2918, 0.6064)
O (0.5385, 0.7082, 0.3936)
O (0.5528, 0.2877, 0.0367)
O (0.6246, 0.6352, 0.7843)
O (0.6624, 0.3154, 0.7610)
O (0.6692, 0.9022, 0.0613)
O (0.7101, 0.0160, 0.4091)
O (0.7202, 0.9029, 0.8245)
O (0.7253, 0.5204, 0.5684)
O (0.8006, 0.3518, 0.2144)
O (0.8197, 0.6824, 0.2338)
O (0.8372, 0.5939, 0.9488)
O (0.8549, 0.1881, 0.6012)
O (0.8646, 0.0177, 0.1811)
O (0.9160, 0.8100, 0.5935)
O (0.9376, 0.1878, 0.9345)

(4)
Diffraction record for ZrP2H2O8. The powder diffraction line list is theoretical, not measured: it uses a PBE-relaxed structure and copper Kα.

Main lines, sorted by position (2θ from 15° to 90°):
15.43 deg, I = 100; 19.11 deg, I = 24; 19.64 deg, I = 62; 22.52 deg, I = 63; 24.51 deg, I = 23; 29.58 deg, I = 92; 31.15 deg, I = 30; 45.97 deg, I = 19; 48.77 deg, I = 19; 49.20 deg, I = 19

a b c (Å): 9.7737 9.7737 9.7737
angles (deg): 108.04 108.04 112.37
Sites, in units of the cell vectors:
Zr (0.0000, 0.0000, 0.0000)
Zr (0.2500, 0.7500, 0.5000)
Zr (0.5000, 0.5000, 0.0000)
Zr (0.7500, 0.2500, 0.5000)
P (0.1941, 0.4578, 0.6566)
P (0.2078, 0.0511, 0.7636)
P (0.2875, 0.4441, 0.2364)
P (0.3011, 0.9578, 0.2636)
P (0.6941, 0.0375, 0.7364)
P (0.7078, 0.9441, 0.1566)
P (0.7875, 0.5511, 0.8434)
P (0.8011, 0.5375, 0.3434)
H (0.1504, 0.2047, 0.5313)
H (0.1734, 0.7047, 0.0544)
H (0.3691, 0.4004, 0.4456)
H (0.4547, 0.9004, 0.0313)
H (0.6504, 0.1191, 0.9456)
H (0.6734, 0.6191, 0.4687)
H (0.8691, 0.4234, 0.9687)
H (0.9547, 0.9234, 0.5544)
O (0.0144, 0.3880, 0.6324)
O (0.0628, 0.0324, 0.6113)
O (0.1320, 0.2644, 0.1264)
O (0.1380, 0.0056, 0.8736)
O (0.1837, 0.0167, 0.1976)
O (0.2015, 0.3128, 0.5304)
O (0.2360, 0.5690, 0.3024)
O (0.2466, 0.5985, 0.6117)
O (0.2556, 0.8880, 0.3736)
O (0.2667, 0.9337, 0.6976)
O (0.2824, 0.8128, 0.1113)
O (0.3190, 0.5167, 0.8330)
O (0.3485, 0.2368, 0.8519)
O (0.3850, 0.4966, 0.1481)
O (0.4211, 0.4515, 0.3887)
O (0.4868, 0.0985, 0.3519)
O (0.5144, 0.8820, 0.6264)
O (0.5628, 0.9515, 0.0304)
O (0.6320, 0.5056, 0.8676)
O (0.6380, 0.7644, 0.1324)
O (0.6837, 0.4860, 0.1670)
O (0.7015, 0.1711, 0.8887)
O (0.7360, 0.4337, 0.6670)
O (0.7466, 0.1350, 0.6481)
O (0.7556, 0.3820, 0.3676)
O (0.7667, 0.0690, 0.3330)
O (0.7824, 0.6711, 0.4696)
O (0.8190, 0.9860, 0.8024)
O (0.8485, 0.9966, 0.1117)
O (0.8850, 0.7368, 0.8883)
O (0.9211, 0.5324, 0.9696)
O (0.9868, 0.6350, 0.3883)

(5)
Diffraction record for ZrP2HO7. The powder diffraction line list is theoretical, not measured: it uses a PBE-relaxed structure and copper Kα.

Main lines, sorted by position (2θ from 15° to 90°):
18.61 deg, I = 14; 23.21 deg, I = 100; 32.54 deg, I = 21; 33.57 deg, I = 22; 40.35 deg, I = 9; 46.36 deg, I = 8; 47.45 deg, I = 17; 52.76 deg, I = 18; 58.71 deg, I = 6; 68.15 deg, I = 6

a b c (Å): 5.5040 5.5040 12.8910
angles (deg): 90.00 90.00 120.00
Sites, in units of the cell vectors:
Zr (0.0000, 0.0000, 0.2416)
Zr (0.0000, 0.0000, 0.7584)
P (0.3333, 0.6667, 0.1123)
P (0.3333, 0.6667, 0.6281)
P (0.6667, 0.3333, 0.3719)
P (0.6667, 0.3333, 0.8877)
H (0.3333, 0.6667, 0.0033)
H (0.6667, 0.3333, 0.9967)
O (0.1793, 0.3586, 0.1465)
O (0.1793, 0.8207, 0.1465)
O (0.1811, 0.3621, 0.6680)
O (0.1811, 0.8189, 0.6680)
O (0.3333, 0.6667, 0.5081)
O (0.3586, 0.1793, 0.8535)
O (0.3621, 0.1811, 0.3320)
O (0.6379, 0.8189, 0.6680)
O (0.6414, 0.8207, 0.1465)
O (0.6667, 0.3333, 0.4919)
O (0.8189, 0.1811, 0.3320)
O (0.8189, 0.6379, 0.3320)
O (0.8207, 0.1793, 0.8535)
O (0.8207, 0.6414, 0.8535)

(6)
Diffraction record for Zr2P3H3O13. The powder diffraction line list is theoretical, not measured: it uses a PBE-relaxed structure and copper Kα.

Main lines, sorted by position (2θ from 15° to 90°):
18.82 deg, I = 54; 19.93 deg, I = 100; 22.78 deg, I = 33; 22.91 deg, I = 65; 27.46 deg, I = 43; 29.94 deg, I = 38; 30.08 deg, I = 34; 30.19 deg, I = 33; 34.88 deg, I = 37; 54.50 deg, I = 27

a b c (Å): 8.9016 8.9121 9.4687
angles (deg): 62.42 61.99 60.05
Sites, in units of the cell vectors:
Zr (0.0000, 0.0000, 0.0000)
Zr (0.1960, 0.2172, 0.3909)
Zr (0.4941, 0.5089, 0.5010)
Zr (0.7000, 0.7084, 0.8898)
P (0.1020, 0.3898, 0.6992)
P (0.3167, 0.8963, 0.1940)
P (0.3868, 0.8274, 0.6918)
P (0.6030, 0.3210, 0.1967)
P (0.8097, 0.1085, 0.6953)
P (0.8874, 0.6086, 0.1956)
H (0.0010, 0.8901, 0.3353)
H (0.2777, 0.3634, 0.9675)
H (0.4225, 0.3267, 0.0553)
H (0.4967, 0.3149, 0.8465)
H (0.8070, 0.8498, 0.4234)
H (0.8538, 0.9019, 0.5440)
O (0.0605, 0.4382, 0.2194)
O (0.0969, 0.2121, 0.8438)
O (0.1133, 0.3753, 0.5374)
O (0.1365, 0.9291, 0.1736)
O (0.2223, 0.8419, 0.8536)
O (0.2685, 0.4281, 0.6657)
O (0.2837, 0.0569, 0.2400)
O (0.3486, 0.0051, 0.5473)
O (0.3524, 0.7200, 0.3394)
O (0.3950, 0.3682, 0.9432)
O (0.4174, 0.6712, 0.6405)
O (0.4351, 0.2883, 0.2172)
O (0.4730, 0.8813, 0.0295)
O (0.5584, 0.7889, 0.7250)
O (0.5801, 0.3361, 0.3610)
O (0.6077, 0.4974, 0.0512)
O (0.6314, 0.2777, 0.6822)
O (0.7240, 0.5802, 0.3532)
O (0.7764, 0.1605, 0.1505)
O (0.7868, 0.9398, 0.7084)
O (0.8419, 0.0754, 0.8547)
O (0.8527, 0.6374, 0.0381)
O (0.9033, 0.8480, 0.4475)
O (0.9144, 0.7788, 0.1719)
O (0.9252, 0.5461, 0.7506)
O (0.9682, 0.1413, 0.5359)

(7)
Diffraction record for Pa4H3O8. The powder diffraction line list is theoretical, not measured: it uses a PBE-relaxed structure and copper Kα.

Main lines, sorted by position (2θ from 15° to 90°):
28.37 deg, I = 100; 32.88 deg, I = 38; 47.19 deg, I = 50; 55.98 deg, I = 47; 58.71 deg, I = 11; 68.95 deg, I = 8; 76.17 deg, I = 20; 78.52 deg, I = 15; 87.77 deg, I = 17

a b c (Å): 7.7047 7.7047 7.7047
angles (deg): 60.00 60.00 60.00
Sites, in units of the cell vectors:
Pa (0.0000, 0.0000, 0.0000)
Pa (0.0000, 0.0000, 0.5000)
Pa (0.0000, 0.5000, 0.0000)
Pa (0.0000, 0.5000, 0.5000)
Pa (0.5000, 0.0000, 0.0000)
Pa (0.5000, 0.0000, 0.5000)
Pa (0.5000, 0.5000, 0.0000)
Pa (0.5000, 0.5000, 0.5000)
H (0.2307, 0.2307, 0.7693)
H (0.2307, 0.7693, 0.2307)
H (0.2307, 0.7693, 0.7693)
H (0.7693, 0.2307, 0.2307)
H (0.7693, 0.2307, 0.7693)
H (0.7693, 0.7693, 0.2307)
O (0.1248, 0.6251, 0.6251)
O (0.1346, 0.1346, 0.1346)
O (0.1346, 0.1346, 0.5962)
O (0.1346, 0.5962, 0.1346)
O (0.3749, 0.3749, 0.3749)
O (0.3749, 0.3749, 0.8752)
O (0.3749, 0.8752, 0.3749)
O (0.4038, 0.8654, 0.8654)
O (0.5962, 0.1346, 0.1346)
O (0.6251, 0.1248, 0.6251)
O (0.6251, 0.6251, 0.1248)
O (0.6251, 0.6251, 0.6251)
O (0.8654, 0.4038, 0.8654)
O (0.8654, 0.8654, 0.4038)
O (0.8654, 0.8654, 0.8654)
O (0.8752, 0.3749, 0.3749)